No. 1
This entry pairs a crystal structure of LiMnP2O7 with its calculated powder diffractogram. Radiation: a wavelength of 1.5418 Å. Structure: a PBE+U-relaxed structure.
Neutral-atom scattering factors, no anomalous dispersion.

Peak list (6 most intense, 10 to 90 degrees two-theta, low angle first)
index, d [Å], I_rel
0 1 1, 6.212, 53
1 1 0, 4.249, 100
1 -1 0, 3.906, 52
0 0 2, 3.744, 67
1 2 1, 3.027, 30
2 0 0, 2.616, 23

Cell and atoms:
a = 5.2514 Å, b = 7.0268 Å, c = 8.1084 Å
α = 67.45°, β = 89.00°, γ = 85.07°
Space group P1 (No. 1)
Unique sites:
Li: 0.0000 0.0000 0.0000 (multiplicity 1)
Li: 0.4349 0.7911 0.5456 (multiplicity 1)
Mn: 0.4801 0.0726 0.7218 (multiplicity 1)
Mn: 0.9174 0.6030 0.2591 (multiplicity 1)
P: 0.4228 0.3030 0.2961 (multiplicity 1)
P: 0.4712 0.9671 0.1604 (multiplicity 1)
P: 0.9582 0.7253 0.8162 (multiplicity 1)
P: 0.9833 0.3827 0.6861 (multiplicity 1)
O: 0.0093 0.7098 0.0078 (multiplicity 1)
O: 0.1329 0.3533 0.3068 (multiplicity 1)
O: 0.1604 0.8403 0.6929 (multiplicity 1)
O: 0.2705 0.3325 0.6633 (multiplicity 1)
O: 0.2965 0.8424 0.3025 (multiplicity 1)
O: 0.3787 0.9946 0.9718 (multiplicity 1)
O: 0.4586 0.2037 0.1459 (multiplicity 1)
O: 0.5194 0.1213 0.4706 (multiplicity 1)
O: 0.5766 0.4873 0.2341 (multiplicity 1)
O: 0.6781 0.8080 0.7560 (multiplicity 1)
O: 0.7579 0.8910 0.1946 (multiplicity 1)
O: 0.8384 0.1907 0.7734 (multiplicity 1)
O: 0.8606 0.5468 0.5140 (multiplicity 1)
O: 0.9707 0.4882 0.8323 (multiplicity 1)

***

No. 2
This entry pairs a crystal structure of LiMnPO4 with its calculated powder diffractogram. Radiation: a wavelength of 1.5418 Å. Structure: a PBE+U-relaxed structure.
Neutral-atom scattering factors, no anomalous dispersion.

Peak list (6 most intense, 10 to 90 degrees two-theta, low angle first)
index, d [Å], I_rel
1 1 -1, 4.216, 93
2 0 0, 3.898, 91
1 0 2, 3.331, 100
2 1 -1, 3.197, 44
2 1 -2, 2.820, 63
2 3 -2, 1.600, 32

Cell and atoms:
a = 8.0569 Å, b = 5.4977 Å, c = 8.5756 Å
α = 90.00°, β = 104.61°, γ = 90.00°
Space group Pc (No. 7)
Unique sites:
Li: 0.0000 0.1513 0.0000 (multiplicity 2)
Li: 0.4711 0.3417 0.2860 (multiplicity 2)
Mn: 0.1020 0.3414 0.3726 (multiplicity 2)
Mn: 0.6018 0.1653 0.6728 (multiplicity 2)
P: 0.2267 0.1640 0.7450 (multiplicity 2)
P: 0.7229 0.3356 0.0541 (multiplicity 2)
O: 0.0897 0.1609 0.5799 (multiplicity 2)
O: 0.1505 0.2876 0.8750 (multiplicity 2)
O: 0.2780 0.1044 0.2961 (multiplicity 2)
O: 0.3830 0.3150 0.7248 (multiplicity 2)
O: 0.5948 0.2018 0.1333 (multiplicity 2)
O: 0.6507 0.4052 0.5055 (multiplicity 2)
O: 0.7495 0.1976 0.9041 (multiplicity 2)
O: 0.9052 0.3367 0.1693 (multiplicity 2)

***

No. 3
This entry pairs a crystal structure of LiMnPO5 with its calculated powder diffractogram. Radiation: a wavelength of 1.5418 Å. Structure: a PBE+U-relaxed structure.
Neutral-atom scattering factors, no anomalous dispersion.

Peak list (6 most intense, 10 to 90 degrees two-theta, low angle first)
index, d [Å], I_rel
1 1 0, 4.885, 44
1 1 -1, 4.814, 25
0 2 0, 3.908, 27
1 1 -2, 3.199, 100
2 0 0, 3.129, 72
1 3 0, 2.406, 32

Cell and atoms:
a = 7.1657 Å, b = 7.8157 Å, c = 7.0131 Å
α = 90.00°, β = 119.14°, γ = 90.00°
Space group P2_1/c (No. 14)
Unique sites:
Li: 0.2484 0.0605 0.2822 (multiplicity 4)
Mn: 0.2501 0.7477 0.4999 (multiplicity 4)
P: 0.2497 0.1053 0.7488 (multiplicity 4)
O: 0.0632 0.2370 0.6519 (multiplicity 4)
O: 0.2389 0.5055 0.4253 (multiplicity 4)
O: 0.2509 0.6760 0.7512 (multiplicity 4)
O: 0.2580 0.5048 0.0695 (multiplicity 4)
O: 0.4373 0.2358 0.8472 (multiplicity 4)

***

No. 4
This entry pairs a crystal structure of Li3Mn3P4O16 with its calculated powder diffractogram. Radiation: a wavelength of 1.5418 Å. Structure: a PBE+U-relaxed structure.
Neutral-atom scattering factors, no anomalous dispersion.

Peak list (6 most intense, 10 to 90 degrees two-theta, low angle first)
index, d [Å], I_rel
1 0 -2, 7.042, 100
0 0 4, 3.595, 26
2 1 -1, 3.230, 70
1 1 3, 2.839, 18
0 2 0, 2.497, 26
3 1 -3, 2.482, 25

Cell and atoms:
a = 8.6253 Å, b = 4.9959 Å, c = 16.0284 Å
α = 90.00°, β = 116.21°, γ = 90.00°
Space group P2_1/c (No. 14)
Unique sites:
Li: 0.0000 0.0000 0.0000 (multiplicity 2)
Li: 0.3066 0.0593 0.2556 (multiplicity 4)
Mn: 0.1899 0.5102 0.3762 (multiplicity 4)
Mn: 0.5000 0.0000 0.5000 (multiplicity 2)
P: 0.0304 0.0034 0.6510 (multiplicity 4)
P: 0.4240 0.5028 0.5964 (multiplicity 4)
O: 0.0209 0.6940 0.6377 (multiplicity 4)
O: 0.0891 0.1604 0.5905 (multiplicity 4)
O: 0.1543 0.5913 0.8594 (multiplicity 4)
O: 0.1664 0.0682 0.7553 (multiplicity 4)
O: 0.2508 0.5509 0.5086 (multiplicity 4)
O: 0.4193 0.5783 0.6854 (multiplicity 4)
O: 0.4353 0.1871 0.9185 (multiplicity 4)
O: 0.4945 0.2107 0.5992 (multiplicity 4)

***

No. 5
This entry pairs a crystal structure of LiMn2P2O8 with its calculated powder diffractogram. Radiation: a wavelength of 1.5418 Å. Structure: a PBE+U-relaxed structure.
Neutral-atom scattering factors, no anomalous dispersion.

Peak list (6 most intense, 10 to 90 degrees two-theta, low angle first)
index, d [Å], I_rel
0 1 2, 4.169, 100
2 0 2, 4.141, 95
2 0 3, 3.469, 14
0 2 0, 2.575, 28
4 0 0, 2.549, 26
2 1 4, 2.536, 14

Cell and atoms:
a = 10.1964 Å, b = 5.1497 Å, c = 14.1984 Å
α = 90.00°, β = 90.00°, γ = 90.00°
Space group Pca2_1 (No. 29)
Unique sites:
Li: 0.2223 0.0524 0.0000 (multiplicity 4)
Mn: 0.0333 0.5585 0.0030 (multiplicity 4)
Mn: 0.2221 0.0554 0.2514 (multiplicity 4)
P: 0.0298 0.9334 0.6264 (multiplicity 4)
P: 0.2140 0.5527 0.3780 (multiplicity 4)
O: 0.0060 0.6370 0.6187 (multiplicity 4)
O: 0.0339 0.9642 0.2172 (multiplicity 4)
O: 0.0353 0.9401 0.0374 (multiplicity 4)
O: 0.0653 0.4970 0.3869 (multiplicity 4)
O: 0.1791 0.9951 0.6256 (multiplicity 4)
O: 0.2176 0.4348 0.9670 (multiplicity 4)
O: 0.2353 0.4265 0.7870 (multiplicity 4)
O: 0.2423 0.8505 0.3772 (multiplicity 4)

***

What is the formula in the third record?
LiMnPO5

***

Copy entry 4 word for word.
This entry pairs a crystal structure of Li3Mn3P4O16 with its calculated powder diffractogram. Radiation: a wavelength of 1.5418 Å. Structure: a PBE+U-relaxed structure.
Neutral-atom scattering factors, no anomalous dispersion.

Peak list (6 most intense, 10 to 90 degrees two-theta, low angle first)
index, d [Å], I_rel
1 0 -2, 7.042, 100
0 0 4, 3.595, 26
2 1 -1, 3.230, 70
1 1 3, 2.839, 18
0 2 0, 2.497, 26
3 1 -3, 2.482, 25

Cell and atoms:
a = 8.6253 Å, b = 4.9959 Å, c = 16.0284 Å
α = 90.00°, β = 116.21°, γ = 90.00°
Space group P2_1/c (No. 14)
Unique sites:
Li: 0.0000 0.0000 0.0000 (multiplicity 2)
Li: 0.3066 0.0593 0.2556 (multiplicity 4)
Mn: 0.1899 0.5102 0.3762 (multiplicity 4)
Mn: 0.5000 0.0000 0.5000 (multiplicity 2)
P: 0.0304 0.0034 0.6510 (multiplicity 4)
P: 0.4240 0.5028 0.5964 (multiplicity 4)
O: 0.0209 0.6940 0.6377 (multiplicity 4)
O: 0.0891 0.1604 0.5905 (multiplicity 4)
O: 0.1543 0.5913 0.8594 (multiplicity 4)
O: 0.1664 0.0682 0.7553 (multiplicity 4)
O: 0.2508 0.5509 0.5086 (multiplicity 4)
O: 0.4193 0.5783 0.6854 (multiplicity 4)
O: 0.4353 0.1871 0.9185 (multiplicity 4)
O: 0.4945 0.2107 0.5992 (multiplicity 4)